No. 1
This entry pairs a crystal structure of Ag2H12C3S3Br2N6 with its simulated powder diffraction line list. Radiation: Cu Kα. Structure: a crystal structure in OQMD, relaxed with GGA-PBE.

The 12 most intense peaks (2θ from 10° to 90°), in order of falling intensity:
d/Å, Rel. int.
8.279, 100
3.337, 90
4.071, 51
7.687, 50
3.654, 48
6.465, 44
2.754, 43
2.649, 37
3.843, 29
2.040, 28
2.588, 28
2.289, 27

Structure:
abc: 4.090 8.279 20.775
angles: 90.00 94.80 90.00
Space group P2/c (No. 13)
Inequivalent atoms, fractional coordinates:
Ag 0.016 0.058 0.177 (multiplicity 4)
H 0.198 0.392 0.167 (multiplicity 4)
H 0.305 0.423 0.703 (multiplicity 4)
H 0.319 0.115 0.521 (multiplicity 4)
H 0.348 0.386 0.528 (multiplicity 4)
H 0.401 0.483 0.911 (multiplicity 4)
H 0.476 0.009 0.420 (multiplicity 4)
C 0.418 0.235 0.905 (multiplicity 4)
C 0.500 0.375 0.250 (multiplicity 2)
S 0.182 0.223 0.833 (multiplicity 4)
S 0.500 0.165 0.250 (multiplicity 2)
Br 0.055 0.261 0.426 (multiplicity 4)
N 0.323 0.454 0.204 (multiplicity 4)
N 0.469 0.104 0.563 (multiplicity 4)
N 0.496 0.379 0.570 (multiplicity 4)

No. 2
This entry pairs a crystal structure of CdAg2IBr3 with its simulated powder diffraction line list. Radiation: Cu Kα. Structure: a crystal structure in OQMD, relaxed with GGA-PBE.

The 12 most intense peaks (2θ from 10° to 90°), in order of falling intensity:
d/Å, Rel. int.
3.623, 100
3.647, 50
2.225, 50
3.552, 41
2.239, 26
2.202, 23
2.192, 23
2.184, 22
1.890, 21
1.862, 16
5.552, 16
1.902, 15

Structure:
abc: 6.231 6.243 7.581
angles: 112.75 113.29 91.05
Space group P1 (No. 1)
Inequivalent atoms, fractional coordinates:
Cd 0.000 0.000 0.000 (multiplicity 1)
Ag 0.502 0.501 0.002 (multiplicity 1)
Ag 0.746 0.247 0.498 (multiplicity 1)
I 0.134 0.638 0.727 (multiplicity 1)
Br 0.360 0.375 0.254 (multiplicity 1)
Br 0.624 0.116 0.756 (multiplicity 1)
Br 0.885 0.875 0.255 (multiplicity 1)

No. 3
This entry pairs a crystal structure of Ag2BrCl with its simulated powder diffraction line list. Radiation: Cu Kα. Structure: a crystal structure in OQMD, relaxed with GGA-PBE.

The 12 most intense peaks (2θ from 10° to 90°), in order of falling intensity:
d/Å, Rel. int.
3.567, 100
2.187, 46
1.859, 29
2.178, 22
1.870, 15
1.259, 14
1.419, 12
1.265, 7
1.540, 7
1.186, 6
3.081, 6
1.414, 6

Structure:
abc: 6.161 6.161 12.423
angles: 90.00 90.00 90.00
Space group I-4 (No. 82)
Inequivalent atoms, fractional coordinates:
Ag 0.237 0.251 0.375 (multiplicity 8)
Br 0.000 0.000 0.000 (multiplicity 2)
Br 0.000 0.500 0.750 (multiplicity 2)
Cl 0.000 0.000 0.500 (multiplicity 2)
Cl 0.000 0.500 0.250 (multiplicity 2)

No. 4
This entry pairs a crystal structure of AgBrCl with its simulated powder diffraction line list. Radiation: Cu Kα. Structure: a crystal structure in OQMD, relaxed with GGA-PBE.

The 12 most intense peaks (2θ from 10° to 90°), in order of falling intensity:
d/Å, Rel. int.
3.515, 100
6.049, 79
2.508, 78
3.187, 43
2.062, 42
2.021, 40
3.911, 23
2.660, 22
1.644, 20
7.030, 18
2.145, 17
1.859, 15

Structure:
abc: 6.796 3.719 7.722
angles: 90.00 114.44 90.00
Space group P2/m (No. 10)
Inequivalent atoms, fractional coordinates:
Ag 0.000 0.000 0.000 (multiplicity 1)
Ag 0.500 0.500 0.500 (multiplicity 1)
Br 0.230 0.000 0.493 (multiplicity 2)
Cl 0.249 0.500 0.008 (multiplicity 2)

No. 5
This entry pairs a crystal structure of AgBrCl with its simulated powder diffraction line list. Radiation: Cu Kα. Structure: a crystal structure in OQMD, relaxed with GGA-PBE.

The 12 most intense peaks (2θ from 10° to 90°), in order of falling intensity:
d/Å, Rel. int.
3.516, 100
6.055, 79
2.500, 77
2.021, 46
2.054, 43
3.173, 42
3.898, 23
2.657, 22
1.637, 20
1.427, 16
2.138, 16
1.850, 15

Structure:
abc: 6.783 3.701 7.739
angles: 90.00 114.69 90.00
Space group P2_1/m (No. 11)
Inequivalent atoms, fractional coordinates:
Ag 0.242 0.250 0.250 (multiplicity 2)
Br 0.486 0.250 0.743 (multiplicity 2)
Cl 0.007 0.250 0.758 (multiplicity 2)